Structure and calculated powder diffractogram of RbV3I12 (a GGA-PBE-relaxed structure; Cu Kα (weighted mean of Kα1 and Kα2)).
No peak broadening, texture or thermal motion is included.

Top 10 peaks for 10 to 90 degrees two-theta, in order of rising 2θ:
d/Å	Position (°2θ)	I (rel.)
6.650	13.32	56
6.499	13.62	35
3.839	23.17	66
3.720	23.92	100
3.325	26.81	95
3.247	27.47	68
3.229	27.63	38
2.905	30.78	27
2.511	35.75	29
2.165	41.72	27

Structure:
```
RbV3I12
1.0
6.6496 3.8391 12.9982
-6.6496 3.8391 12.9982
0.0000 -7.6783 12.9982
Rb V I
2 6 24
Direct
0.0000 0.0000 0.0000
0.5000 0.5000 0.5000
0.1072 0.3477 0.7177
0.2177 0.8477 0.6072
0.3477 0.7177 0.1072
0.6072 0.2177 0.8477
0.7177 0.1072 0.3477
0.8477 0.6072 0.2177
0.0290 0.5581 0.5729
0.0580 0.5290 0.0729
0.0729 0.0580 0.5290
0.1555 0.6916 0.6630
0.1630 0.1916 0.6555
0.1916 0.6555 0.1630
0.2208 0.8097 0.7947
0.2947 0.3097 0.7208
0.3097 0.7208 0.2947
0.3197 0.9308 0.9449
0.4308 0.8197 0.4449
0.4449 0.4308 0.8197
0.5290 0.0729 0.0580
0.5580 0.5729 0.0290
0.5729 0.0290 0.5580
0.6555 0.1630 0.1916
0.6630 0.1555 0.6916
0.6916 0.6630 0.1555
0.7208 0.2947 0.3097
0.7947 0.2208 0.8097
0.8097 0.7947 0.2208
0.8197 0.4449 0.4308
0.9308 0.9449 0.3197
0.9449 0.3197 0.9308
```



Structure and calculated powder diffractogram of Y2PbS (a GGA-PBE-relaxed structure; Cu Kα (weighted mean of Kα1 and Kα2)).
No peak broadening, texture or thermal motion is included.

Top 10 peaks for 10 to 90 degrees two-theta, in order of rising 2θ:
d/Å	Position (°2θ)	I (rel.)
8.191	10.80	24
3.302	27.00	20
3.063	29.16	96
2.730	32.80	20
2.571	34.90	100
1.907	47.70	34
1.740	52.59	22
1.563	59.10	23
1.531	60.45	20
1.194	80.43	18

Structure:
```
Y2PbS
1.0
3.8134 0.0000 0.0000
-1.9067 3.3025 0.0000
0.0000 0.0000 8.1913
Y Pb S
2 1 1
Direct
0.3333 0.6667 0.3058
0.6667 0.3333 0.6942
0.0000 0.0000 0.0000
0.0000 0.0000 0.5000
```



Structure and calculated powder diffractogram of RbMgHgS2 (a GGA-PBE-relaxed structure; Cu Kα (weighted mean of Kα1 and Kα2)).
No peak broadening, texture or thermal motion is included.

Top 10 peaks for 10 to 90 degrees two-theta, in order of rising 2θ:
d/Å	Position (°2θ)	I (rel.)
7.271	12.17	40
7.065	12.53	74
5.067	17.50	100
3.533	25.21	39
3.309	26.94	42
3.233	27.59	83
3.177	28.08	29
3.025	29.53	45
2.598	34.53	74
2.209	40.86	40

Structure:
```
RbMgHgS2
1.0
7.6767 0.0000 0.0000
0.0000 7.2708 0.0000
-2.3665 0.0000 5.5680
Rb Mg Hg S
2 2 2 4
Direct
0.0000 0.2070 0.2500
0.0000 0.7930 0.7500
0.5000 0.0000 0.2500
0.5000 0.0000 0.7500
0.5000 0.5000 0.0000
0.5000 0.5000 0.5000
0.2930 0.1775 0.8973
0.2930 0.8225 0.3973
0.7070 0.1775 0.6027
0.7070 0.8225 0.1027
```



Structure and calculated powder diffractogram of Cd15Hg2Au2 (a GGA-PBE-relaxed structure; Cu Kα (weighted mean of Kα1 and Kα2)).
No peak broadening, texture or thermal motion is included.

Top 10 peaks for 10 to 90 degrees two-theta, in order of rising 2θ:
d/Å	Position (°2θ)	I (rel.)
3.083	28.96	41
3.069	29.10	71
2.497	35.96	40
2.482	36.19	35
2.470	36.38	100
2.421	37.13	56
2.402	37.44	83
2.362	38.10	68
2.208	40.87	95
2.079	43.52	28

Structure:
```
Cd15Hg2Au2
1.0
6.7237 0.0000 0.0000
1.8320 7.4466 0.0000
0.0521 0.1881 9.0113
Cd Hg Au
15 2 2
Direct
0.0000 0.0000 0.0000
0.0000 0.5000 0.5000
0.1432 0.1378 0.7131
0.1840 0.6365 0.7884
0.2460 0.6514 0.1122
0.3209 0.6980 0.4433
0.3771 0.3351 0.3060
0.4014 0.9742 0.1710
0.5000 0.0000 0.5000
0.5986 0.0258 0.8290
0.6229 0.6649 0.6940
0.6791 0.3020 0.5567
0.7540 0.3486 0.8878
0.8160 0.3635 0.2116
0.8568 0.8622 0.2869
0.2804 0.3050 0.9749
0.7196 0.6950 0.0251
0.0808 0.1205 0.3990
0.9192 0.8795 0.6010
```



Structure and calculated powder diffractogram of Pr3NdEr7 (a GGA-PBE-relaxed structure; Cu Kα (weighted mean of Kα1 and Kα2)).
No peak broadening, texture or thermal motion is included.

Top 10 peaks for 10 to 90 degrees two-theta, in order of rising 2θ:
d/Å	Position (°2θ)	I (rel.)
2.842	31.48	67
2.832	31.59	20
2.804	31.92	100
2.786	32.13	47
2.773	32.29	38
2.757	32.48	33
2.744	32.63	19
2.726	32.86	37
2.577	34.82	18
1.602	57.53	14

Structure:
```
Pr3NdEr7
1.0
6.5300 0.0000 0.0000
-0.5799 6.6475 0.0000
-1.3100 -1.4795 8.4136
Pr Nd Er
3 1 7
Direct
0.0000 0.0000 0.0000
0.2020 0.5630 0.1603
0.7980 0.4370 0.8397
0.5000 0.0000 0.5000
0.0141 0.7644 0.5844
0.2731 0.2772 0.7837
0.4420 0.7929 0.8561
0.5000 0.5000 0.5000
0.5580 0.2071 0.1439
0.7269 0.7228 0.2163
0.9859 0.2356 0.4156
```



Structure and calculated powder diffractogram of LiCaCd (a GGA-PBE-relaxed structure; Cu Kα (weighted mean of Kα1 and Kα2)).
No peak broadening, texture or thermal motion is included.

Top 10 peaks for 10 to 90 degrees two-theta, in order of rising 2θ:
d/Å	Position (°2θ)	I (rel.)
4.832	18.36	83
4.192	21.20	50
2.956	30.23	40
2.584	34.72	100
2.526	35.53	48
2.470	36.37	31
2.416	37.22	28
1.896	47.99	23
1.625	56.64	23
1.612	57.15	22

Structure:
```
LiCaCd
1.0
5.9123 0.0000 0.0000
0.0000 6.1159 0.0000
0.0000 0.0000 8.3832
Li Ca Cd
4 4 4
Direct
0.2500 0.2500 0.2500
0.2500 0.7500 0.7500
0.7500 0.2500 0.2500
0.7500 0.7500 0.7500
0.0000 0.2500 0.6270
0.0000 0.7500 0.3730
0.5000 0.2500 0.8730
0.5000 0.7500 0.1270
0.0000 0.0000 0.0000
0.0000 0.5000 0.0000
0.5000 0.0000 0.5000
0.5000 0.5000 0.5000
```